Starting from a DFT-relaxed cell (PBE, Alexandria), the powder XRD pattern of YTh4 was computed for Cu Kα (weighted mean of Kα1 and Kα2).

Crystal structure
a = 3.599 Å, b = 5.017 Å, c = 17.846 Å
α = 90.00°, β = 90.00°, γ = 90.00°
Positions (direct):
Y 0.000 0.000 0.000
Y 0.500 0.500 0.500
Th 0.000 0.000 0.200
Th 0.000 0.000 0.398
Th 0.000 0.000 0.602
Th 0.000 0.000 0.800
Th 0.500 0.500 0.102
Th 0.500 0.500 0.300
Th 0.500 0.500 0.700
Th 0.500 0.500 0.898

Main lines, by angle (5 to 70 degrees two-theta):
| 2θ/deg | Rel. int. |
| --- | --- |
| 30.57 | 100 |
| 30.74 | 98 |
| 35.42 | 68 |
| 35.80 | 33 |
| 51.23 | 61 |
| 60.50 | 30 |
| 60.80 | 29 |
| 61.11 | 14 |

Starting from a DFT-relaxed cell (PBE, Alexandria), the powder XRD pattern of Y5Th4 was computed for Cu Kα (weighted mean of Kα1 and Kα2).

Crystal structure
a = 9.140 Å, b = 9.140 Å, c = 9.140 Å
α = 92.28°, β = 92.28°, γ = 156.98°
Positions (direct):
Y 0.000 0.000 0.000
Y 0.334 0.334 0.667
Y 0.334 0.666 0.000
Y 0.666 0.334 0.000
Y 0.666 0.666 0.333
Th 0.000 0.338 0.338
Th 0.000 0.662 0.662
Th 0.338 0.000 0.338
Th 0.662 0.000 0.662

Main lines, by angle (5 to 70 degrees two-theta):
| 2θ/deg | Rel. int. |
| --- | --- |
| 9.88 | 32 |
| 29.12 | 9 |
| 29.93 | 62 |
| 32.44 | 100 |
| 42.84 | 23 |
| 54.74 | 45 |
| 59.39 | 18 |
| 67.92 | 12 |

Starting from a DFT-relaxed cell (PBE, Alexandria), the powder XRD pattern of Y3Th was computed for Cu Kα (weighted mean of Kα1 and Kα2).

Crystal structure
a = 8.055 Å, b = 8.055 Å, c = 8.055 Å
α = 90.00°, β = 90.00°, γ = 90.00°
Positions (direct):
Y 0.000 0.000 0.000
Y 0.000 0.500 0.500
Y 0.250 0.250 0.250
Y 0.250 0.250 0.750
Y 0.250 0.750 0.250
Y 0.250 0.750 0.750
Y 0.500 0.000 0.500
Y 0.500 0.500 0.000
Y 0.750 0.250 0.250
Y 0.750 0.250 0.750
Y 0.750 0.750 0.250
Y 0.750 0.750 0.750
Th 0.000 0.000 0.500
Th 0.000 0.500 0.000
Th 0.500 0.000 0.000
Th 0.500 0.500 0.500

Main lines, by angle (5 to 70 degrees two-theta):
| 2θ/deg | Rel. int. |
| --- | --- |
| 19.08 | 15 |
| 22.07 | 8 |
| 31.41 | 100 |
| 37.02 | 9 |
| 45.02 | 18 |
| 49.31 | 4 |
| 55.92 | 39 |
| 65.56 | 12 |

Starting from a DFT-relaxed cell (PBE, Alexandria), the powder XRD pattern of Y7Th2 was computed for Cu Kα (weighted mean of Kα1 and Kα2).

Crystal structure
a = 6.200 Å, b = 6.200 Å, c = 8.750 Å
α = 90.00°, β = 90.00°, γ = 120.00°
Positions (direct):
Y 0.000 0.000 0.000
Y 0.000 0.337 0.670
Y 0.000 0.663 0.330
Y 0.337 0.000 0.670
Y 0.337 0.337 0.330
Y 0.663 0.000 0.330
Y 0.663 0.663 0.670
Th 0.333 0.667 0.000
Th 0.667 0.333 0.000

Main lines, by angle (5 to 70 degrees two-theta):
| 2θ/deg | Rel. int. |
| --- | --- |
| 10.11 | 18 |
| 19.40 | 6 |
| 28.80 | 5 |
| 30.61 | 100 |
| 35.49 | 52 |
| 51.07 | 35 |
| 60.72 | 42 |
| 63.70 | 9 |

Starting from a DFT-relaxed cell (PBE, Alexandria), the powder XRD pattern of Y5Th was computed for Cu Kα (weighted mean of Kα1 and Kα2).

Crystal structure
a = 5.063 Å, b = 15.156 Å, c = 5.070 Å
α = 90.00°, β = 90.00°, γ = 90.00°
Positions (direct):
Y 0.000 0.000 0.000
Y 0.000 0.165 0.500
Y 0.000 0.337 0.000
Y 0.000 0.663 0.000
Y 0.000 0.835 0.500
Y 0.500 0.163 0.000
Y 0.500 0.335 0.500
Y 0.500 0.500 0.000
Y 0.500 0.665 0.500
Y 0.500 0.837 0.000
Th 0.000 0.500 0.500
Th 0.500 0.000 0.500

Main lines, by angle (5 to 70 degrees two-theta):
| 2θ/deg | Rel. int. |
| --- | --- |
| 11.68 | 9 |
| 30.59 | 100 |
| 35.44 | 34 |
| 35.54 | 17 |
| 51.04 | 35 |
| 60.64 | 28 |
| 60.78 | 14 |
| 63.69 | 12 |

Starting from a DFT-relaxed cell (PBE, Alexandria), the powder XRD pattern of Y8Th3 was computed for Cu Kα (weighted mean of Kα1 and Kα2).

Crystal structure
a = 7.836 Å, b = 7.836 Å, c = 7.836 Å
α = 108.43°, β = 108.43°, γ = 108.43°
Positions (direct):
Y 0.187 0.506 0.670
Y 0.242 0.242 0.242
Y 0.330 0.813 0.494
Y 0.494 0.330 0.813
Y 0.506 0.670 0.187
Y 0.670 0.187 0.506
Y 0.758 0.758 0.758
Y 0.813 0.494 0.330
Th 0.000 0.000 0.500
Th 0.000 0.500 0.000
Th 0.500 0.000 0.000

Main lines, by angle (5 to 70 degrees two-theta):
| 2θ/deg | Rel. int. |
| --- | --- |
| 19.40 | 54 |
| 23.96 | 54 |
| 28.07 | 97 |
| 30.55 | 100 |
| 32.64 | 36 |
| 34.35 | 79 |
| 39.38 | 36 |
| 43.58 | 41 |

Starting from a DFT-relaxed cell (PBE, Alexandria), the powder XRD pattern of YThZn10 was computed for Cu Kα (weighted mean of Kα1 and Kα2).

Crystal structure
a = 4.220 Å, b = 5.383 Å, c = 9.261 Å
α = 90.00°, β = 90.00°, γ = 90.00°
Positions (direct):
Y 0.000 0.000 0.000
Th 0.000 0.500 0.500
Zn 0.000 0.000 0.327
Zn 0.000 0.000 0.673
Zn 0.000 0.500 0.160
Zn 0.000 0.500 0.840
Zn 0.500 0.000 0.500
Zn 0.500 0.252 0.250
Zn 0.500 0.252 0.750
Zn 0.500 0.500 0.000
Zn 0.500 0.748 0.250
Zn 0.500 0.748 0.750

Main lines, by angle (5 to 70 degrees two-theta):
| 2θ/deg | Rel. int. |
| --- | --- |
| 28.57 | 65 |
| 33.26 | 23 |
| 33.46 | 30 |
| 38.70 | 36 |
| 39.72 | 51 |
| 39.87 | 100 |
| 42.86 | 39 |
| 63.94 | 24 |

Starting from a DFT-relaxed cell (PBE, Alexandria), the powder XRD pattern of Y5ThZn6 was computed for Cu Kα (weighted mean of Kα1 and Kα2).

Crystal structure
a = 8.805 Å, b = 8.805 Å, c = 8.805 Å
α = 146.49°, β = 131.66°, γ = 60.10°
Positions (direct):
Y 0.000 0.000 0.000
Y 0.167 0.667 0.500
Y 0.334 0.334 0.000
Y 0.666 0.666 0.000
Y 0.833 0.333 0.500
Th 0.500 0.000 0.500
Zn 0.077 0.831 0.246
Zn 0.243 0.500 0.743
Zn 0.415 0.169 0.246
Zn 0.585 0.831 0.754
Zn 0.757 0.500 0.257
Zn 0.923 0.169 0.754

Main lines, by angle (5 to 70 degrees two-theta):
| 2θ/deg | Rel. int. |
| --- | --- |
| 13.59 | 4 |
| 21.40 | 3 |
| 24.76 | 6 |
| 35.30 | 100 |
| 50.64 | 6 |
| 50.85 | 12 |
| 63.27 | 12 |
| 63.40 | 23 |

Starting from a DFT-relaxed cell (PBE, Alexandria), the powder XRD pattern of Y3ThZn4 was computed for Cu Kα (weighted mean of Kα1 and Kα2).

Crystal structure
a = 7.203 Å, b = 7.203 Å, c = 7.203 Å
α = 90.00°, β = 90.00°, γ = 90.00°
Positions (direct):
Y 0.000 0.000 0.500
Y 0.000 0.500 0.000
Y 0.000 0.500 0.500
Y 0.500 0.000 0.000
Y 0.500 0.000 0.500
Y 0.500 0.500 0.000
Th 0.000 0.000 0.000
Th 0.500 0.500 0.500
Zn 0.250 0.250 0.250
Zn 0.250 0.250 0.750
Zn 0.250 0.750 0.250
Zn 0.250 0.750 0.750
Zn 0.750 0.250 0.250
Zn 0.750 0.250 0.750
Zn 0.750 0.750 0.250
Zn 0.750 0.750 0.750

Main lines, by angle (5 to 70 degrees two-theta):
| 2θ/deg | Rel. int. |
| --- | --- |
| 17.41 | 15 |
| 24.72 | 9 |
| 30.40 | 8 |
| 35.24 | 100 |
| 39.56 | 4 |
| 47.21 | 5 |
| 50.69 | 17 |
| 63.24 | 35 |

Starting from a DFT-relaxed cell (PBE, Alexandria), the powder XRD pattern of Th3Zn was computed for Cu Kα (weighted mean of Kα1 and Kα2).

Crystal structure
a = 3.567 Å, b = 10.977 Å, c = 5.859 Å
α = 90.00°, β = 90.00°, γ = 90.00°
Positions (direct):
Th 0.000 0.000 0.000
Th 0.000 0.225 0.588
Th 0.000 0.775 0.588
Th 0.500 0.275 0.088
Th 0.500 0.500 0.500
Th 0.500 0.725 0.088
Zn 0.000 0.500 0.952
Zn 0.500 0.000 0.452

Main lines, by angle (5 to 70 degrees two-theta):
| 2θ/deg | Rel. int. |
| --- | --- |
| 28.77 | 20 |
| 29.31 | 11 |
| 30.52 | 25 |
| 32.63 | 25 |
| 33.64 | 100 |
| 34.71 | 18 |
| 45.28 | 13 |
| 58.88 | 12 |

Starting from a DFT-relaxed cell (PBE, Alexandria), the powder XRD pattern of ThZn11 was computed for Cu Kα (weighted mean of Kα1 and Kα2).

Crystal structure
a = 8.240 Å, b = 8.240 Å, c = 8.240 Å
α = 100.19°, β = 100.19°, γ = 130.24°
Positions (direct):
Th 0.375 0.625 0.750
Th 0.625 0.375 0.250
Zn 0.000 0.000 0.000
Zn 0.000 0.000 0.500
Zn 0.000 0.500 0.000
Zn 0.125 0.875 0.250
Zn 0.132 0.555 0.334
Zn 0.132 0.798 0.577
Zn 0.202 0.280 0.334
Zn 0.202 0.868 0.923
Zn 0.280 0.202 0.834
Zn 0.280 0.445 0.077
Zn 0.445 0.280 0.577
Zn 0.445 0.868 0.166
Zn 0.500 0.000 0.500
Zn 0.555 0.132 0.834
Zn 0.555 0.720 0.423
Zn 0.720 0.555 0.923
Zn 0.720 0.798 0.166
Zn 0.798 0.132 0.077
Zn 0.798 0.720 0.666
Zn 0.868 0.202 0.423
Zn 0.868 0.445 0.666
Zn 0.875 0.125 0.750

Main lines, by angle (5 to 70 degrees two-theta):
| 2θ/deg | Rel. int. |
| --- | --- |
| 28.39 | 27 |
| 33.17 | 40 |
| 37.37 | 100 |
| 38.07 | 60 |
| 39.93 | 28 |
| 44.81 | 22 |
| 57.36 | 19 |
| 68.32 | 27 |

Starting from a DFT-relaxed cell (PBE, Alexandria), the powder XRD pattern of ThZn11 was computed for Cu Kα (weighted mean of Kα1 and Kα2).

Crystal structure
a = 4.331 Å, b = 5.203 Å, c = 9.224 Å
α = 90.00°, β = 90.00°, γ = 90.00°
Positions (direct):
Th 0.000 0.000 0.000
Zn 0.000 0.000 0.351
Zn 0.000 0.000 0.649
Zn 0.000 0.500 0.213
Zn 0.000 0.500 0.500
Zn 0.000 0.500 0.787
Zn 0.500 0.000 0.500
Zn 0.500 0.239 0.236
Zn 0.500 0.239 0.764
Zn 0.500 0.500 0.000
Zn 0.500 0.761 0.236
Zn 0.500 0.761 0.764

Main lines, by angle (5 to 70 degrees two-theta):
| 2θ/deg | Rel. int. |
| --- | --- |
| 28.51 | 55 |
| 33.19 | 24 |
| 33.86 | 24 |
| 39.06 | 27 |
| 39.78 | 34 |
| 39.92 | 100 |
| 40.45 | 56 |
| 41.71 | 53 |